MgFe8O14F2: calculated powder diffractogram (Cu Kα), based on a structure optimized by DFT (PBE+U).
Kinematic intensities with the Lorentz-polarization factor, no thermal factor.

Crystal structure
```
data_MgFe8O14F2
_cell_length_a 5.5730
_cell_length_b 7.2666
_cell_length_c 7.5399
_cell_angle_alpha 82.87
_cell_angle_beta 69.83
_cell_angle_gamma 71.47
_symmetry_space_group_name_H-M 'P 1'
_symmetry_Int_Tables_number 1
_symmetry_space_group_name_Hall 'P 1'
loop_
_atom_site_label
_atom_site_type_symbol
_atom_site_fract_x
_atom_site_fract_y
_atom_site_fract_z
Mg1 Mg 0.0000 0.0000 0.0000
Fe1 Fe 0.2218 0.6259 0.6462
Fe2 Fe 0.2404 0.1421 0.6088
Fe3 Fe 0.2477 0.6113 0.1433
Fe4 Fe 0.2970 0.1217 0.1633
Fe5 Fe 0.7011 0.8848 0.8472
Fe6 Fe 0.7191 0.3956 0.8635
Fe7 Fe 0.7522 0.3624 0.3829
Fe8 Fe 0.7698 0.8753 0.3887
O1 O 0.0712 0.8948 0.7362
O2 O 0.1015 0.7114 0.4070
O3 O 0.1038 0.3890 0.2213
O4 O 0.3682 0.8759 0.0348
O5 O 0.3720 0.5458 0.8669
O6 O 0.3892 0.3692 0.5416
O7 O 0.4240 0.0261 0.3655
O8 O 0.5791 0.9771 0.6324
O9 O 0.5878 0.4625 0.1338
O10 O 0.6270 0.1345 0.9638
O11 O 0.8616 0.6142 0.7924
O12 O 0.8844 0.2950 0.6076
O13 O 0.9010 0.7728 0.1416
O14 O 0.9194 0.1044 0.2682
F1 F 0.0890 0.2343 0.8812
F2 F 0.5940 0.6451 0.4732
```

Largest 6 diffraction maxima, in order of rising 2θ, 2θ = 10–80°:
| 2θ/deg | d (Å) | intensity | (hkl) |
| --- | --- | --- | --- |
| 25.70 | 3.467 | 99 | 1 0 2 |
| 26.75 | 3.333 | 100 | 1 2 0 |
| 35.53 | 2.527 | 26 | 1 0 -2 |
| 36.09 | 2.488 | 29 | 0 2 2 |
| 36.70 | 2.448 | 26 | 0 2 -2 |
| 52.61 | 1.740 | 33 | 1 2 4 |